[1]
This entry pairs a crystal structure of VAs2 with its computed powder XRD pattern. Radiation: a wavelength of 1.5418 Å. Structure: a DFT-relaxed cell (GGA-PBE, the Materials Project).
Lines closer than 0.1° are merged.

Largest 10 diffraction maxima, sorted by position, 2θ from 10° to 80°:
Position (°2θ)	Rel. int.	h k l
34.85	100.0	1 1 1
35.92	30.4	2 0 -3
36.35	48.5	1 1 -2
39.85	32.1	4 0 -2
40.50	54.5	3 1 -1
41.55	30.5	0 0 3
43.97	43.1	4 0 -3
45.86	30.5	4 0 0
47.61	40.6	3 1 -3
55.81	27.3	0 2 0

Crystal structure
```
data_VAs2
_chemical_formula_sum 'V4 As8'
_space_group_name_H-M_alt 'C 1 2/m 1'
_space_group_IT_number 12
_cell_length_a 9.1221
_cell_length_b 3.2944
_cell_length_c 7.5136
_cell_angle_alpha 90.00
_cell_angle_beta 119.80
_cell_angle_gamma 90.00
loop_
_space_group_symop_operation_xyz
'x,y,z'
'-x,-y,-z'
'-x,y,-z'
'x,-y,z'
'x+1/2,y+1/2,z'
'-x+1/2,-y+1/2,-z'
'-x+1/2,y+1/2,-z'
'x+1/2,-y+1/2,z'
loop_
_atom_site_label
_atom_site_type_symbol
_atom_site_fract_x
_atom_site_fract_y
_atom_site_fract_z
V1 V 0.1538 0.0000 0.1935
As1 As 0.0960 0.5000 0.8932
As2 As 0.1481 0.0000 0.5347
```

***

[2]
This entry pairs a crystal structure of VAs with its computed powder XRD pattern. Radiation: a wavelength of 1.5418 Å. Structure: a DFT-relaxed cell (GGA-PBE, the Materials Project).
Lines closer than 0.1° are merged.

Largest 10 diffraction maxima, sorted by position, 2θ from 10° to 80°:
Position (°2θ)	Rel. int.	h k l
32.35	48.3	1 0 2
34.03	100.0	1 1 1
40.95	20.6	2 1 0
42.17	30.8	2 0 2
42.42	44.0	1 1 2
43.52	60.7	2 1 1
48.78	27.7	3 0 1
51.54	30.0	0 1 3
54.99	23.4	0 2 0
61.10	18.3	1 0 4

Crystal structure
```
data_VAs
_chemical_formula_sum 'V4 As4'
_space_group_name_H-M_alt 'P n m a'
_space_group_IT_number 62
_cell_length_a 5.8656
_cell_length_b 3.3399
_cell_length_c 6.2773
_cell_angle_alpha 90.00
_cell_angle_beta 90.00
_cell_angle_gamma 90.00
loop_
_space_group_symop_operation_xyz
'x,y,z'
'-x,-y,-z'
'-x+1/2,-y,z+1/2'
'x+1/2,y,-z+1/2'
'x+1/2,-y+1/2,-z+1/2'
'-x+1/2,y+1/2,z+1/2'
'-x,y+1/2,-z'
'x,-y+1/2,z'
loop_
_atom_site_label
_atom_site_type_symbol
_atom_site_fract_x
_atom_site_fract_y
_atom_site_fract_z
V1 V 0.0050 0.2500 0.1831
As1 As 0.1936 0.2500 0.5734
```

***

[3]
This entry pairs a crystal structure of V3As with its computed powder XRD pattern. Radiation: a wavelength of 1.5418 Å. Structure: a DFT-relaxed cell (GGA-PBE, the Materials Project).
Lines closer than 0.1° are merged.

Largest 9 diffraction maxima, sorted by position, 2θ from 10° to 80°:
Position (°2θ)	Rel. int.	h k l
26.62	10.5	1 1 0
38.00	47.1	2 0 0
42.69	81.1	2 1 0
47.00	100.0	2 1 1
54.83	1.7	2 2 0
61.96	2.5	3 1 0
68.65	2.5	2 2 2
71.88	14.7	3 2 0
75.05	46.7	3 2 1

Crystal structure
```
data_V3As
_chemical_formula_sum 'V6 As2'
_space_group_name_H-M_alt 'P m -3 n'
_space_group_IT_number 223
_space_group_name_Hall '-P 4n 2 3'
_cell_length_a 4.7358
_cell_length_b 4.7358
_cell_length_c 4.7358
_cell_angle_alpha 90.00
_cell_angle_beta 90.00
_cell_angle_gamma 90.00
loop_
_atom_site_label
_atom_site_type_symbol
_atom_site_fract_x
_atom_site_fract_y
_atom_site_fract_z
V1 V 0.0000 0.2500 0.5000
As1 As 0.0000 0.0000 0.0000
```

***

[4]
This entry pairs a crystal structure of V4As3 with its computed powder XRD pattern. Radiation: a wavelength of 1.5418 Å. Structure: a DFT-relaxed cell (GGA-PBE, the Materials Project).
Lines closer than 0.1° are merged.

Largest 10 diffraction maxima, sorted by position, 2θ from 10° to 80°:
Position (°2θ)	Rel. int.	h k l
33.27	52.7	1 3 1
36.97	89.9	1 1 5
38.63	100.0	1 3 4
39.98	39.7	0 0 8
40.78	35.9	0 6 2
42.38	27.9	0 6 3
42.72	58.1	1 5 1
47.15	32.1	0 6 5
48.67	70.0	1 3 7
54.04	55.9	2 0 0

Crystal structure
```
data_V4As3
_chemical_formula_sum 'V32 As24'
_space_group_name_H-M_alt 'C m c m'
_space_group_IT_number 63
_space_group_name_Hall '-C 2c 2'
_cell_length_a 3.3942
_cell_length_b 13.6948
_cell_length_c 18.0203
_cell_angle_alpha 90.00
_cell_angle_beta 90.00
_cell_angle_gamma 90.00
loop_
_atom_site_label
_atom_site_type_symbol
_atom_site_fract_x
_atom_site_fract_y
_atom_site_fract_z
V1 V 0.0000 0.0000 0.0000
V2 V 0.0000 0.0584 0.2500
V3 V 0.0000 0.2665 0.1632
V4 V 0.0000 0.3365 0.5280
V5 V 0.0000 0.4652 0.1166
As1 As 0.0000 0.0981 0.1176
As2 As 0.0000 0.1600 0.5757
As3 As 0.0000 0.3030 0.7500
As4 As 0.0000 0.4186 0.2500
```

***

[5]
This entry pairs a crystal structure of As2W with its computed powder XRD pattern. Radiation: a wavelength of 1.5418 Å. Structure: a DFT-relaxed cell (GGA-PBE, the Materials Project).
Lines closer than 0.1° are merged.

Largest 10 diffraction maxima, sorted by position, 2θ from 10° to 80°:
Position (°2θ)	Rel. int.	h k l
19.49	62.8	2 0 -1
34.10	100.0	1 1 1
39.77	40.7	0 0 3
41.22	46.1	3 1 -2
43.16	45.3	1 1 2
43.27	31.1	4 0 -3
43.44	54.2	3 1 0
44.90	30.1	1 1 -3
45.43	32.8	4 0 0
46.52	36.7	3 1 -3

Crystal structure
```
data_As2W
_chemical_formula_sum 'As8 W4'
_space_group_name_H-M_alt 'C 1 2/m 1'
_space_group_IT_number 12
_cell_length_a 9.1645
_cell_length_b 3.3463
_cell_length_c 7.8044
_cell_angle_alpha 90.00
_cell_angle_beta 119.38
_cell_angle_gamma 90.00
loop_
_space_group_symop_operation_xyz
'x,y,z'
'-x,-y,-z'
'-x,y,-z'
'x,-y,z'
'x+1/2,y+1/2,z'
'-x+1/2,-y+1/2,-z'
'-x+1/2,y+1/2,-z'
'x+1/2,-y+1/2,z'
loop_
_atom_site_label
_atom_site_type_symbol
_atom_site_fract_x
_atom_site_fract_y
_atom_site_fract_z
As1 As 0.0960 0.0000 0.3895
As2 As 0.1455 0.5000 0.0316
W1 W 0.1518 0.5000 0.7013
```

***

[6]
This entry pairs a crystal structure of As3W2 with its computed powder XRD pattern. Radiation: a wavelength of 1.5418 Å. Structure: a DFT-relaxed cell (GGA-PBE, the Materials Project).
Lines closer than 0.1° are merged.

Largest 10 diffraction maxima, sorted by position, 2θ from 10° to 80°:
Position (°2θ)	Rel. int.	h k l
15.99	94.6	2 0 0
32.04	49.9	1 1 1
34.76	92.6	3 1 -2
38.32	43.8	2 0 -4
39.28	41.4	3 1 -3
40.59	93.1	1 1 -3
42.31	43.9	3 1 1
43.26	100.0	5 1 -2
50.41	55.7	3 1 2
55.56	45.3	0 2 0

Crystal structure
```
data_As3W2
_chemical_formula_sum 'As12 W8'
_space_group_name_H-M_alt 'C 1 2/m 1'
_space_group_IT_number 12
_cell_length_a 13.4980
_cell_length_b 3.3082
_cell_length_c 9.7010
_cell_angle_alpha 90.00
_cell_angle_beta 124.78
_cell_angle_gamma 90.00
loop_
_space_group_symop_operation_xyz
'x,y,z'
'-x,-y,-z'
'-x,y,-z'
'x,-y,z'
'x+1/2,y+1/2,z'
'-x+1/2,-y+1/2,-z'
'-x+1/2,y+1/2,-z'
'x+1/2,-y+1/2,z'
loop_
_atom_site_label
_atom_site_type_symbol
_atom_site_fract_x
_atom_site_fract_y
_atom_site_fract_z
As1 As 0.0840 0.0000 0.3133
As2 As 0.1061 0.5000 0.6307
As3 As 0.1249 0.5000 0.0468
W1 W 0.1527 0.0000 0.8711
W2 W 0.2472 0.5000 0.3724
```

***

[7]
This entry pairs a crystal structure of YAs3 with its computed powder XRD pattern. Radiation: a wavelength of 1.5418 Å. Structure: a DFT-relaxed cell (GGA-PBE, the Materials Project).
Lines closer than 0.1° are merged.

Largest 10 diffraction maxima, sorted by position, 2θ from 10° to 80°:
Position (°2θ)	Rel. int.	h k l
16.99	8.3	1 0 0
32.16	38.8	0 0 2
34.37	22.6	2 0 0
38.09	100.0	2 0 1
47.78	17.5	2 0 2
55.33	5.4	3 0 1
61.31	24.1	2 0 3
61.56	13.4	2 2 0
71.17	17.2	2 2 2
74.75	12.8	4 0 1

Crystal structure
```
data_YAs3
_chemical_formula_sum 'Y2 As6'
_space_group_name_H-M_alt 'P 63/m m c'
_space_group_IT_number 194
_space_group_name_Hall '-P 6c 2c'
_cell_length_a 6.0255
_cell_length_b 6.0255
_cell_length_c 5.5664
_cell_angle_alpha 90.00
_cell_angle_beta 90.00
_cell_angle_gamma 120.00
loop_
_atom_site_label
_atom_site_type_symbol
_atom_site_fract_x
_atom_site_fract_y
_atom_site_fract_z
Y1 Y 0.3333 0.6667 0.2500
As1 As 0.1861 0.3722 0.7500
```

***

[8]
This entry pairs a crystal structure of YAs with its computed powder XRD pattern. Radiation: a wavelength of 1.5418 Å. Structure: a DFT-relaxed cell (GGA-PBE, the Materials Project).
Lines closer than 0.1° are merged.

Largest 5 diffraction maxima, sorted by position, 2θ from 10° to 80°:
Position (°2θ)	Rel. int.	h k l
24.82	0.9	1 0 0
35.39	100.0	1 1 0
50.92	17.3	2 0 0
63.54	35.0	2 1 1
74.88	10.7	2 2 0

Crystal structure
```
data_YAs
_chemical_formula_sum 'Y1 As1'
_space_group_name_H-M_alt 'P m -3 m'
_space_group_IT_number 221
_space_group_name_Hall '-P 4 2 3'
_cell_length_a 3.5868
_cell_length_b 3.5868
_cell_length_c 3.5868
_cell_angle_alpha 90.00
_cell_angle_beta 90.00
_cell_angle_gamma 90.00
loop_
_atom_site_label
_atom_site_type_symbol
_atom_site_fract_x
_atom_site_fract_y
_atom_site_fract_z
Y1 Y 0.0000 0.0000 0.0000
As1 As 0.5000 0.5000 0.5000
```